1.
The following is a theoretical powder diffraction line list of Ag3P2. It was derived from a DFT-relaxed cell (PBE, OQMD), using λ = 1.5418 Å (Cu Kα).
Kinematic intensities with the Lorentz-polarization factor, no thermal factor.

Principal peaks in the range 2θ = 10–80°, sorted by position:
- 28.41°, intensity 100, hkl 0 1 1
- 39.68°, intensity 75, hkl 1 0 2
- 41.52°, intensity 70, hkl 1 1 0
- 51.07°, intensity 19, hkl 2 0 1
- 58.78°, intensity 22, hkl 0 2 2
- 65.24°, intensity 20, hkl 1 1 3
- 67.85°, intensity 15, hkl 1 2 1
- 70.74°, intensity 11, hkl 0 1 4
- 74.51°, intensity 22, hkl 2 1 2
- 75.75°, intensity 11, hkl 3 0 0

Structural model:
```
data_Ag3P2
_space_group_name_H-M_alt 'P -3 m 1'
_space_group_IT_number 164
_space_group_name_Hall '-P 3 2"'
_cell_length_a 4.3499
_cell_length_b 4.3499
_cell_length_c 5.6950
_cell_angle_alpha 90.00
_cell_angle_beta 90.00
_cell_angle_gamma 120.00
loop_
_atom_site_label
_atom_site_fract_x
_atom_site_fract_y
_atom_site_fract_z
_atom_site_occupancy
Ag1 0.0000 0.0000 0.0000 1
Ag2 0.3333 0.6667 0.3324 1
P1 0.3333 0.6667 0.7819 1
```

2.
The following is a theoretical powder diffraction line list of ZnB4Pt. It was derived from a DFT-relaxed cell (PBE, OQMD), using λ = 1.5418 Å (Cu Kα).
Kinematic intensities with the Lorentz-polarization factor, no thermal factor.

Principal peaks in the range 2θ = 10–80°, sorted by position:
- 20.92°, intensity 56, hkl 0 1 1
- 24.64°, intensity 71, hkl 0 0 2
- 32.28°, intensity 21, hkl 1 0 1
- 34.18°, intensity 37, hkl 0 2 0
- 34.41°, intensity 72, hkl 1 1 0
- 42.59°, intensity 50, hkl 0 2 2
- 42.78°, intensity 100, hkl 1 1 2
- 61.34°, intensity 19, hkl 1 3 0
- 62.56°, intensity 26, hkl 1 1 4
- 67.14°, intensity 22, hkl 1 3 2

Structural model:
```
data_ZnB4Pt
_space_group_name_H-M_alt 'I m m m'
_space_group_IT_number 71
_space_group_name_Hall '-I 2 2'
_cell_length_a 3.0032
_cell_length_b 5.2468
_cell_length_c 7.2265
_cell_angle_alpha 90.00
_cell_angle_beta 90.00
_cell_angle_gamma 90.00
loop_
_atom_site_label
_atom_site_fract_x
_atom_site_fract_y
_atom_site_fract_z
_atom_site_occupancy
Zn1 0.0000 0.0000 0.0000 1
B1 0.0000 0.3344 0.2607 1
Pt1 0.0000 0.0000 0.5000 1
```

3.
The following is a theoretical powder diffraction line list of KTbHg3S4. It was derived from a DFT-relaxed cell (PBE, OQMD), using λ = 1.5418 Å (Cu Kα).
Kinematic intensities with the Lorentz-polarization factor, no thermal factor.

Principal peaks in the range 2θ = 10–80°, sorted by position:
- 13.79°, intensity 100, hkl 0 1 1
- 16.40°, intensity 52, hkl 1 0 1
- 21.98°, intensity 30, hkl 0 0 3
- 24.64°, intensity 48, hkl 0 2 1
- 27.78°, intensity 51, hkl 0 2 2
- 31.82°, intensity 48, hkl 1 2 2
- 33.74°, intensity 45, hkl 1 0 4
- 36.17°, intensity 34, hkl 1 2 3
- 37.64°, intensity 51, hkl 2 2 -1
- 48.07°, intensity 25, hkl 0 4 0

Structural model:
```
data_KTbHg3S4
_space_group_name_H-M_alt 'P 1 21/m 1'
_space_group_IT_number 11
_cell_length_a 6.2712
_cell_length_b 7.5695
_cell_length_c 12.1648
_cell_angle_alpha 90.00
_cell_angle_beta 94.08
_cell_angle_gamma 90.00
loop_
_space_group_symop_operation_xyz
'x,y,z'
'-x,-y,-z'
'-x,y+1/2,-z'
'x,-y+1/2,z'
loop_
_atom_site_label
_atom_site_fract_x
_atom_site_fract_y
_atom_site_fract_z
_atom_site_occupancy
K1 0.0122 0.2500 0.1463 1
Tb1 0.3629 0.7500 0.2948 1
Hg1 0.1794 0.2500 0.8146 1
Hg2 0.3083 0.5226 0.5476 1
S1 0.0373 0.7500 0.4450 1
S2 0.1561 0.7500 0.1019 1
S3 0.3950 0.5177 0.7627 1
```